[1]
The following is a simulated powder diffractogram of AcIn3Sn3. It was derived from a PBE-relaxed structure, using Cu Ka.
Peak positions follow from Bragg's law for the DFT cell and can differ from measured ones.

```
AcIn3Sn3
1.0
5.413 -5.470 0.000
5.413 5.470 0.000
0.000 0.000 7.147
Ac In Sn
2 6 6
Direct
0.213 0.213 0.000
0.787 0.787 0.000
0.152 0.848 0.500
0.256 0.744 0.000
0.263 0.263 0.500
0.737 0.737 0.500
0.744 0.256 0.000
0.848 0.152 0.500
0.000 0.500 0.284
0.000 0.500 0.716
0.500 0.000 0.284
0.500 0.000 0.716
0.500 0.500 0.253
0.500 0.500 0.747
```

Most intense lines, 2θ = 10–80°, in order of rising 2θ:
| two_theta | Rel. int. |
| --- | --- |
| 26.3 | 13 |
| 27.5 | 14 |
| 28.9 | 14 |
| 32.7 | 23 |
| 33.1 | 29 |
| 34.2 | 100 |
| 36.8 | 10 |
| 47.2 | 12 |
| 51.1 | 10 |
| 59.4 | 14 |
| 59.9 | 12 |
| 62.0 | 13 |

[2]
The following is a simulated powder diffractogram of AcIn4Sn2. It was derived from a PBE-relaxed structure, using Cu Ka.
Peak positions follow from Bragg's law for the DFT cell and can differ from measured ones.

```
AcIn4Sn2
1.0
2.318 -10.046 0.000
2.318 10.046 0.000
0.000 0.000 4.546
Ac In Sn
1 4 2
Direct
0.000 0.000 0.000
0.181 0.819 0.500
0.314 0.686 0.000
0.686 0.314 0.000
0.819 0.181 0.500
0.426 0.574 0.500
0.574 0.426 0.500
```

Most intense lines, 2θ = 10–80°, in order of rising 2θ:
| two_theta | Rel. int. |
| --- | --- |
| 26.4 | 14 |
| 27.8 | 15 |
| 29.4 | 15 |
| 30.6 | 100 |
| 33.2 | 14 |
| 35.6 | 16 |
| 36.8 | 16 |
| 38.9 | 23 |
| 39.7 | 22 |
| 56.7 | 15 |
| 65.3 | 11 |
| 67.1 | 14 |